[1]
TlVZnF6: theoretical powder diffractogram (Cu Kα (λ = 1.5418 Å)), based on a crystal structure in Alexandria, relaxed with GGA+U.

a b c (Å): 7.477 7.477 7.477
angles (deg): 121.18 118.96 89.89
Sites, in units of the cell vectors:
1 Tl 0.337 0.087 0.250
2 Tl 0.663 0.913 0.750
3 V 0.000 0.500 0.500
4 V 0.500 0.500 0.000
5 Zn 0.000 0.000 0.500
6 Zn 0.000 0.500 0.000
7 F 0.073 0.430 0.257
8 F 0.073 0.815 0.643
9 F 0.079 0.829 0.250
10 F 0.312 0.562 0.750
11 F 0.328 0.185 0.757
12 F 0.328 0.570 0.143
13 F 0.672 0.430 0.857
14 F 0.672 0.815 0.243
15 F 0.688 0.438 0.250
16 F 0.921 0.171 0.750
17 F 0.927 0.185 0.357
18 F 0.927 0.570 0.743

Principal peaks in the range 5° ≤ 2θ ≤ 70°, in order of rising 2θ:
- 2θ 14.68, I 29.7
- 2θ 23.43, I 26.9
- 2θ 23.81, I 65.4
- 2θ 27.76, I 100.0
- 2θ 27.88, I 69.9
- 2θ 28.29, I 58.1
- 2θ 29.61, I 37.6
- 2θ 38.06, I 33.2
- 2θ 44.03, I 30.8
- 2θ 48.73, I 33.7

[2]
Tl2WF5: theoretical powder diffractogram (Cu Kα (λ = 1.5418 Å)), based on a crystal structure in Alexandria, relaxed with GGA+U.

a b c (Å): 6.119 12.610 8.040
angles (deg): 90.00 90.04 90.00
Sites, in units of the cell vectors:
1 Tl 0.250 0.091 0.145
2 Tl 0.250 0.409 0.645
3 Tl 0.250 0.748 0.028
4 Tl 0.250 0.752 0.528
5 Tl 0.750 0.248 0.472
6 Tl 0.750 0.252 0.972
7 Tl 0.750 0.591 0.355
8 Tl 0.750 0.909 0.855
9 W 0.250 0.055 0.669
10 W 0.250 0.445 0.169
11 W 0.750 0.555 0.831
12 W 0.750 0.945 0.331
13 F 0.000 0.000 0.500
14 F 0.000 0.500 0.000
15 F 0.008 0.102 0.840
16 F 0.008 0.398 0.340
17 F 0.249 0.201 0.545
18 F 0.249 0.299 0.045
19 F 0.250 0.598 0.282
20 F 0.250 0.902 0.782
21 F 0.490 0.102 0.840
22 F 0.490 0.398 0.340
23 F 0.500 0.000 0.500
24 F 0.500 0.500 0.000
25 F 0.510 0.602 0.660
26 F 0.510 0.898 0.160
27 F 0.750 0.098 0.218
28 F 0.750 0.402 0.718
29 F 0.751 0.701 0.955
30 F 0.751 0.799 0.455
31 F 0.992 0.602 0.660
32 F 0.992 0.898 0.160

Principal peaks in the range 5° ≤ 2θ ≤ 70°, in order of rising 2θ:
- 2θ 25.71, I 100.0
- 2θ 26.29, I 28.7
- 2θ 26.53, I 58.9
- 2θ 27.47, I 30.1
- 2θ 29.19, I 41.9
- 2θ 30.78, I 29.9
- 2θ 39.69, I 23.7
- 2θ 42.93, I 34.4
- 2θ 44.94, I 14.6
- 2θ 49.68, I 18.5